1.
For TbNd3Au3, a GGA-PBE-relaxed structure gives the theoretical powder diffraction line list in this record (Cu Kα, 1.54184 Å).
Kinematic intensities with the Lorentz-polarization factor, no thermal factor.

The 10 most intense peaks (15° ≤ 2θ ≤ 90°), most intense first:
d/Å, I (rel.)
2.620, 1000
2.904, 764
2.741, 597
3.094, 281
1.749, 237
2.568, 236
2.229, 232
2.498, 230
2.441, 223
3.118, 187

Atomic structure:
```
14
Lattice="4.8828 -5.4810 0.0000 4.8828 5.4810 0.0000 -0.1972 0.0000 7.3812" Properties=species:S:1:pos:R:3 pbc="T T T"
Tb 2.3227 0.0000 2.7786
Tb 7.2457 0.0000 4.6026
Nd 1.3078 0.0000 6.4596
Nd 4.7842 2.8291 3.6906
Nd 4.8828 1.9467 0.0000
Nd 4.8828 -1.9467 0.0000
Nd 4.7842 -2.8291 3.6906
Nd 8.2605 0.0000 0.9216
Au 2.3102 2.6289 1.6510
Au 4.1187 0.0000 5.0627
Au 2.3102 -2.6289 1.6510
Au 7.2581 2.6289 5.7302
Au 5.4496 0.0000 2.3185
Au 7.2581 -2.6289 5.7302
```

***

2.
For Tb3Nd4Au4, a GGA-PBE-relaxed structure gives the theoretical powder diffraction line list in this record (Cu Kα, 1.54184 Å).
Kinematic intensities with the Lorentz-polarization factor, no thermal factor.

The 10 most intense peaks (15° ≤ 2θ ≤ 90°), most intense first:
d/Å, I (rel.)
2.744, 1000
2.910, 442
2.322, 325
1.907, 249
2.471, 216
1.563, 185
2.578, 157
1.565, 147
1.415, 115
1.509, 95

Atomic structure:
```
11
Lattice="-1.9066 4.6585 8.7443 1.9066 -4.6585 8.7443 1.9066 4.6585 -8.7443" Properties=species:S:1:pos:R:3 pbc="T T T"
Tb 0.0000 0.0000 0.0000
Tb 1.9066 0.0000 6.9711
Tb 0.0000 4.6585 1.7732
Nd 1.9066 1.7255 -2.8126
Nd 1.9066 1.7255 2.8126
Nd 0.0000 2.9330 5.9317
Nd 0.0000 2.9330 11.5569
Au 0.0000 0.0000 4.5551
Au 1.9066 2.9966 0.0000
Au 0.0000 1.6619 8.7443
Au 0.0000 0.0000 12.9336
```

***

3.
For TbNd3Au7, a GGA-PBE-relaxed structure gives the theoretical powder diffraction line list in this record (Cu Kα, 1.54184 Å).
Kinematic intensities with the Lorentz-polarization factor, no thermal factor.

The 10 most intense peaks (15° ≤ 2θ ≤ 90°), most intense first:
d/Å, I (rel.)
2.841, 1000
2.642, 812
2.124, 556
2.333, 534
1.908, 404
2.437, 362
3.761, 359
2.459, 343
1.477, 271
1.377, 269

Atomic structure:
```
22
Lattice="1.9083 -11.0744 0.0000 1.9083 11.0744 0.0000 0.0000 0.0000 13.0015" Properties=species:S:1:pos:R:3 pbc="T T T"
Tb 1.9083 10.9973 9.7511
Tb 1.9083 -10.9973 3.2504
Nd 1.9083 7.9878 0.7172
Nd 1.9083 7.9878 5.7836
Nd 1.9083 6.8433 9.7511
Nd 1.9083 -6.8433 3.2504
Nd 1.9083 -7.9878 7.2179
Nd 1.9083 -7.9878 12.2843
Au 1.9083 4.9199 0.8975
Au 1.9083 4.9199 5.6032
Au 1.9083 2.6666 9.7511
Au 1.9083 2.1498 1.7728
Au 1.9083 2.1498 4.7280
Au 1.9083 0.7356 7.6038
Au 1.9083 0.7356 11.8985
Au 1.9083 -0.7356 1.1030
Au 1.9083 -0.7356 5.3978
Au 1.9083 -2.1498 8.2735
Au 1.9083 -2.1498 11.2287
Au 1.9083 -2.6666 3.2504
Au 1.9083 -4.9199 7.3983
Au 1.9083 -4.9199 12.1040
```

***

4.
For NdThAu, a GGA-PBE-relaxed structure gives the theoretical powder diffraction line list in this record (Cu Kα, 1.54184 Å).
Kinematic intensities with the Lorentz-polarization factor, no thermal factor.

The 10 most intense peaks (15° ≤ 2θ ≤ 90°), most intense first:
d/Å, I (rel.)
2.769, 1000
2.647, 480
1.551, 356
1.872, 176
2.060, 169
1.625, 161
1.385, 144
1.184, 82
1.194, 77
1.113, 63

Atomic structure:
```
3
Lattice="-1.8716 1.8716 6.1750 1.8716 -1.8716 6.1750 1.8716 1.8716 -6.1750" Properties=species:S:1:pos:R:3 pbc="T T T"
Nd 0.0000 0.0000 0.0000
Th 0.0000 0.0000 3.6952
Au 0.0000 0.0000 8.1495
```

***

5.
For NdThAu2, a GGA-PBE-relaxed structure gives the theoretical powder diffraction line list in this record (Cu Kα, 1.54184 Å).
Kinematic intensities with the Lorentz-polarization factor, no thermal factor.

The 10 most intense peaks (15° ≤ 2θ ≤ 90°), most intense first:
d/Å, I (rel.)
2.935, 1000
2.371, 752
2.364, 407
2.830, 325
2.431, 239
1.818, 203
1.978, 201
1.519, 174
1.369, 155
1.456, 124

Atomic structure:
```
4
Lattice="3.9569 0.0000 0.0000 0.0000 4.7450 0.0000 -1.9578 0.0000 5.6607" Properties=species:S:1:pos:R:3 pbc="T T T"
Nd 0.0000 0.0000 0.0000
Th 0.0102 2.3725 3.1166
Au 1.9794 2.3725 0.5971
Au 1.9870 0.0000 2.5844
```

***

6.
For Nd5TlAu4, a GGA-PBE-relaxed structure gives the theoretical powder diffraction line list in this record (Cu Kα, 1.54184 Å).
Kinematic intensities with the Lorentz-polarization factor, no thermal factor.

The 10 most intense peaks (15° ≤ 2θ ≤ 90°), most intense first:
d/Å, I (rel.)
2.667, 1000
2.632, 506
1.526, 370
1.861, 184
1.547, 168
1.334, 103
1.177, 85
1.912, 83
1.180, 81
1.316, 59

Atomic structure:
```
10
Lattice="3.7222 0.0000 0.0000 0.0000 3.7222 0.0000 0.0000 0.0000 19.1171" Properties=species:S:1:pos:R:3 pbc="T T T"
Nd 0.0000 0.0000 0.0000
Nd 0.0000 0.0000 3.7165
Nd 0.0000 0.0000 7.4097
Nd 0.0000 0.0000 11.7074
Nd 0.0000 0.0000 15.4006
Tl 1.8611 1.8611 9.5586
Au 1.8611 1.8611 1.8525
Au 1.8611 1.8611 5.5837
Au 1.8611 1.8611 13.5335
Au 1.8611 1.8611 17.2646
```

***

Copy entry 4 word for word.
For NdThAu, a GGA-PBE-relaxed structure gives the theoretical powder diffraction line list in this record (Cu Kα, 1.54184 Å).
Kinematic intensities with the Lorentz-polarization factor, no thermal factor.

The 10 most intense peaks (15° ≤ 2θ ≤ 90°), most intense first:
d/Å, I (rel.)
2.769, 1000
2.647, 480
1.551, 356
1.872, 176
2.060, 169
1.625, 161
1.385, 144
1.184, 82
1.194, 77
1.113, 63

Atomic structure:
```
3
Lattice="-1.8716 1.8716 6.1750 1.8716 -1.8716 6.1750 1.8716 1.8716 -6.1750" Properties=species:S:1:pos:R:3 pbc="T T T"
Nd 0.0000 0.0000 0.0000
Th 0.0000 0.0000 3.6952
Au 0.0000 0.0000 8.1495
```